Simulated powder X-ray diffraction pattern of CaMg6CrO8 for Cu Kα X-rays, from a crystal structure in Alexandria, relaxed with GGA+U.

Atomic structure:
```
data_CaMg6CrO8
_symmetry_space_group_name_H-M 'P 4/m m m'
_symmetry_Int_Tables_number 123
_symmetry_space_group_name_Hall '-P 4 2'
_cell_length_a 4.4271
_cell_length_b 4.4271
_cell_length_c 8.6065
_cell_angle_alpha 90.00
_cell_angle_beta 90.00
_cell_angle_gamma 90.00
loop_
_atom_site_label
_atom_site_fract_x
_atom_site_fract_y
_atom_site_fract_z
_atom_site_occupancy
Ca1 0.0000 0.0000 0.0000 1
Mg1 0.0000 0.5000 0.2565 1
Mg2 0.5000 0.5000 0.0000 1
Mg3 0.5000 0.5000 0.5000 1
Cr1 0.0000 0.0000 0.5000 1
O1 0.0000 0.0000 0.2624 1
O2 0.0000 0.5000 0.0000 1
O3 0.0000 0.5000 0.5000 1
O4 0.5000 0.5000 0.2505 1
```

Principal peaks in the range 2θ = 15–90°, low angle first:
| index | two_theta | I (rel.) |
| --- | --- | --- |
| 1 0 0 | 20.06 | 10 |
| 0 0 2 | 20.64 | 5 |
| 1 0 2 | 28.94 | 8 |
| 1 1 2 | 35.46 | 29 |
| 2 0 0 | 40.76 | 100 |
| 0 0 4 | 41.99 | 45 |
| 2 2 0 | 59.01 | 29 |
| 2 0 4 | 59.96 | 53 |
| 3 1 2 | 70.77 | 10 |
| 1 1 6 | 72.48 | 5 |
| 2 2 4 | 75.04 | 24 |
| 4 0 0 | 88.30 | 8 |